Simulated X-ray diffraction stick pattern of La5Nd2Pb for Cu Kα (λ = 1.5418 Å), from a structure optimized by DFT (PBE).
Kinematic intensities with the Lorentz-polarization factor, no thermal factor.

Top 6 peaks for 10° ≤ 2θ ≤ 80°, by intensity:
| 2θ (°) | I (rel.) | (hkl) |
| --- | --- | --- |
| 31.9 | 100 | 2 2 2 |
| 27.9 | 24 | 0 0 4 |
| 30.6 | 24 | 0 4 0 |
| 59.3 | 21 | 2 4 6 |
| 49.4 | 19 | 2 0 6 |
| 55.3 | 18 | 2 6 2 |

Structural model:
Cell lengths 7.377, 11.669, 12.784 Å; angles 90.00, 90.00, 90.00 degrees
Space group Fmm2 (No. 42)
One atom of each set of equivalent atoms:
La: 0.000 0.000 0.000 (multiplicity 4)
La: 0.226 0.000 0.757 (multiplicity 8)
La: 0.250 0.250 0.083 (multiplicity 8)
Nd: 0.000 0.227 0.343 (multiplicity 8)
Pb: 0.000 0.000 0.512 (multiplicity 4)